Structure and theoretical XRD peak list of Tb3Si3Ir2 (a DFT-relaxed cell (GGA-PBE, Alexandria); λ = 1.5418 Å (Cu Kα)).

The 6 most intense peaks (5° ≤ 2θ ≤ 70°), low angle first:
| Position (°2θ) | I/Imax | hkl |
| --- | --- | --- |
| 27.1 | 59.1 | 1 3 1 |
| 33.9 | 84.1 | 1 1 2 |
| 34.2 | 65.0 | 2 4 0 |
| 37.7 | 46.3 | 2 4 1 |
| 38.6 | 100.0 | 1 3 2 |
| 42.2 | 40.1 | 3 3 1 |

Structure:
```
data_Tb3Si3Ir2
_symmetry_space_group_name_H-M 'P n m a'
_symmetry_Int_Tables_number 62
_symmetry_space_group_name_Hall '-P 2ac 2n'
_cell_length_a 7.9640
_cell_length_b 13.9558
_cell_length_c 5.7312
_cell_angle_alpha 90.00
_cell_angle_beta 90.00
_cell_angle_gamma 90.00
loop_
_atom_site_label
_atom_site_fract_x
_atom_site_fract_y
_atom_site_fract_z
Tb1 0.0446 0.1138 0.1225
Tb2 0.1935 0.2500 0.6277
Si1 0.1574 0.7500 0.5954
Si2 0.1962 0.0410 0.6302
Ir1 0.0883 0.5910 0.3908
```